[1]
Structure and theoretical powder diffractogram of Cs3Pu6Cl20 (a crystal structure in Alexandria, relaxed with GGA-PBE; Cu Kα).

Largest 10 diffraction maxima, by angle, 2θ = 10–90°:
d = 7.330 Å, 2θ = 12.1°, I = 20, (2 0 0); d = 4.232 Å, 2θ = 21.0°, I = 100, (2 2 2); d = 3.665 Å, 2θ = 24.3°, I = 60, (4 0 0); d = 2.821 Å, 2θ = 31.7°, I = 21, (3 3 3); d = 2.592 Å, 2θ = 34.6°, I = 80, (4 4 0); d = 2.210 Å, 2θ = 40.8°, I = 68, (6 2 2); d = 2.116 Å, 2θ = 42.7°, I = 20, (4 4 4); d = 1.682 Å, 2θ = 54.6°, I = 23, (6 6 2); d = 1.639 Å, 2θ = 56.1°, I = 20, (8 4 0); d = 1.496 Å, 2θ = 62.0°, I = 29, (8 4 4)

Cell and atoms:
```
data_Cs3Pu6Cl20
_space_group_name_H-M_alt 'F m -3 m'
_space_group_IT_number 225
_space_group_name_Hall '-F 4 2 3'
_cell_length_a 14.661
_cell_length_b 14.661
_cell_length_c 14.661
_cell_angle_alpha 90.00
_cell_angle_beta 90.00
_cell_angle_gamma 90.00
loop_
_atom_site_label
_atom_site_type_symbol
_atom_site_fract_x
_atom_site_fract_y
_atom_site_fract_z
_atom_site_occupancy
Cs1 Cs 0.000 0.000 0.000 1
Cs2 Cs 0.250 0.250 0.250 1
Pu1 Pu 0.000 0.000 0.267 1
Cl1 Cl 0.000 0.167 0.167 1
Cl2 Cl 0.113 0.113 0.387 1
```

=====

[2]
Structure and theoretical powder diffractogram of CsPu2Cl8 (a crystal structure in Alexandria, relaxed with GGA-PBE; Cu Kα).

Largest 10 diffraction maxima, by angle, 2θ = 10–90°:
d = 4.987 Å, 2θ = 17.8°, I = 100, (1 1 0); d = 4.567 Å, 2θ = 19.4°, I = 88, (0 1 1); d = 2.879 Å, 2θ = 31.1°, I = 24, (3 0 0); d = 2.791 Å, 2θ = 32.1°, I = 39, (3 -2 1); d = 2.569 Å, 2θ = 34.9°, I = 19, (1 0 2); d = 2.494 Å, 2θ = 36.0°, I = 34, (2 2 0); d = 2.284 Å, 2θ = 39.5°, I = 17, (0 2 2); d = 2.189 Å, 2θ = 41.2°, I = 23, (3 1 1); d = 1.885 Å, 2θ = 48.3°, I = 16, (4 1 0); d = 1.860 Å, 2θ = 49.0°, I = 20, (5 -3 1)

Cell and atoms:
```
data_CsPu2Cl8
_space_group_name_H-M_alt 'P -3'
_space_group_IT_number 147
_space_group_name_Hall '-P 3'
_cell_length_a 9.9742
_cell_length_b 9.9742
_cell_length_c 5.3812
_cell_angle_alpha 90.00
_cell_angle_beta 90.00
_cell_angle_gamma 120.00
loop_
_atom_site_label
_atom_site_type_symbol
_atom_site_fract_x
_atom_site_fract_y
_atom_site_fract_z
_atom_site_occupancy
Cs1 Cs 0.0000 0.0000 0.0000 1
Pu1 Pu 0.3333 0.6667 0.2798 1
Cl1 Cl 0.1843 0.3720 0.2828 1
Cl2 Cl 0.3333 0.6667 0.7807 1
```

=====

[3]
Structure and theoretical powder diffractogram of Cs4Pu6Cl19 (a crystal structure in Alexandria, relaxed with GGA-PBE; Cu Kα).

Largest 10 diffraction maxima, by angle, 2θ = 10–90°:
d = 6.423 Å, 2θ = 13.8°, I = 31, (2 0 0); d = 5.244 Å, 2θ = 16.9°, I = 27, (2 1 1); d = 4.062 Å, 2θ = 21.9°, I = 100, (3 1 0); d = 3.433 Å, 2θ = 26.0°, I = 79, (3 2 1); d = 2.622 Å, 2θ = 34.2°, I = 25, (4 2 2); d = 2.519 Å, 2θ = 35.6°, I = 63, (4 1 3); d = 2.141 Å, 2θ = 42.2°, I = 47, (6 0 0); d = 2.084 Å, 2θ = 43.4°, I = 25, (5 3 2); d = 1.894 Å, 2θ = 48.0°, I = 23, (6 3 1); d = 1.493 Å, 2θ = 62.2°, I = 21, (7 3 4)

Cell and atoms:
```
data_Cs4Pu6Cl19
_space_group_name_H-M_alt 'I 2 3'
_space_group_IT_number 197
_space_group_name_Hall 'I 2 2 3'
_cell_length_a 12.846
_cell_length_b 12.846
_cell_length_c 12.846
_cell_angle_alpha 90.00
_cell_angle_beta 90.00
_cell_angle_gamma 90.00
loop_
_atom_site_label
_atom_site_type_symbol
_atom_site_fract_x
_atom_site_fract_y
_atom_site_fract_z
_atom_site_occupancy
Cs1 Cs 0.152 0.152 0.848 1
Pu1 Pu 0.000 0.337 0.500 1
Cl1 Cl 0.000 0.000 0.000 1
Cl2 Cl 0.000 0.000 0.358 1
Cl3 Cl 0.039 0.326 0.287 1
```

=====

[4]
Structure and theoretical powder diffractogram of Cs3Pu2Cl8 (a crystal structure in Alexandria, relaxed with GGA-PBE; Cu Kα).

Largest 10 diffraction maxima, by angle, 2θ = 10–90°:
d = 7.102 Å, 2θ = 12.5°, I = 66, (0 1 -1); d = 4.779 Å, 2θ = 18.6°, I = 100, (0 1 1); d = 4.275 Å, 2θ = 20.8°, I = 60, (1 1 -1); d = 4.157 Å, 2θ = 21.4°, I = 65, (1 0 -2); d = 4.101 Å, 2θ = 21.7°, I = 61, (1 -1 2); d = 4.075 Å, 2θ = 21.8°, I = 61, (1 -2 1); d = 3.656 Å, 2θ = 24.3°, I = 65, (2 -1 0); d = 2.965 Å, 2θ = 30.1°, I = 36, (0 2 -3); d = 2.857 Å, 2θ = 31.3°, I = 41, (-2 2 1); d = 2.615 Å, 2θ = 34.3°, I = 32, (1 0 3)

Cell and atoms:
```
data_Cs3Pu2Cl8
_space_group_name_H-M_alt 'P -1'
_space_group_IT_number 2
_space_group_name_Hall '-P 1'
_cell_length_a 7.322
_cell_length_b 8.346
_cell_length_c 10.030
_cell_angle_alpha 110.70
_cell_angle_beta 91.03
_cell_angle_gamma 113.01
loop_
_atom_site_label
_atom_site_type_symbol
_atom_site_fract_x
_atom_site_fract_y
_atom_site_fract_z
_atom_site_occupancy
Cs1 Cs 0.000 0.000 0.000 1
Cs2 Cs 0.446 0.854 0.222 1
Pu1 Pu 0.242 0.479 0.613 1
Cl1 Cl 0.042 0.716 0.650 1
Cl2 Cl 0.069 0.263 0.767 1
Cl3 Cl 0.478 0.283 0.508 1
Cl4 Cl 0.496 0.753 0.868 1
```

=====

[5]
Structure and theoretical powder diffractogram of CsRbPuCl4 (a crystal structure in Alexandria, relaxed with GGA-PBE; Cu Kα).

Largest 10 diffraction maxima, by angle, 2θ = 10–90°:
d = 8.603 Å, 2θ = 10.3°, I = 60, (0 0 2); d = 5.287 Å, 2θ = 16.8°, I = 30, (1 0 1); d = 3.991 Å, 2θ = 22.3°, I = 100, (1 0 3); d = 3.928 Å, 2θ = 22.6°, I = 80, (1 1 0); d = 2.926 Å, 2θ = 30.6°, I = 39, (1 0 5); d = 2.778 Å, 2θ = 32.2°, I = 57, (2 0 0); d = 2.316 Å, 2θ = 38.9°, I = 26, (1 1 6); d = 2.280 Å, 2θ = 39.5°, I = 48, (2 1 3); d = 2.014 Å, 2θ = 45.0°, I = 27, (2 1 5); d = 1.995 Å, 2θ = 45.5°, I = 31, (2 0 6)

Cell and atoms:
```
data_CsRbPuCl4
_space_group_name_H-M_alt 'I 4 m m'
_space_group_IT_number 107
_space_group_name_Hall 'I 4 -2'
_cell_length_a 5.556
_cell_length_b 5.556
_cell_length_c 17.207
_cell_angle_alpha 90.00
_cell_angle_beta 90.00
_cell_angle_gamma 90.00
loop_
_atom_site_label
_atom_site_type_symbol
_atom_site_fract_x
_atom_site_fract_y
_atom_site_fract_z
_atom_site_occupancy
Cs1 Cs 0.000 0.000 0.000 1
Rb1 Rb 0.000 0.000 0.716 1
Pu1 Pu 0.000 0.000 0.359 1
Cl1 Cl 0.000 0.000 0.195 1
Cl2 Cl 0.000 0.000 0.524 1
Cl3 Cl 0.000 0.500 0.354 1
```

=====

[6]
Structure and theoretical powder diffractogram of CsPuRhCl6 (a crystal structure in Alexandria, relaxed with GGA-PBE; Cu Kα).

Largest 10 diffraction maxima, by angle, 2θ = 10–90°:
d = 8.054 Å, 2θ = 11.0°, I = 100, (0 0 1); d = 4.807 Å, 2θ = 18.5°, I = 74, (1 1 -1); d = 4.658 Å, 2θ = 19.1°, I = 66, (1 1 1); d = 4.597 Å, 2θ = 19.3°, I = 69, (0 2 1); d = 3.276 Å, 2θ = 27.2°, I = 44, (1 3 0); d = 3.016 Å, 2θ = 29.6°, I = 26, (1 3 1); d = 2.662 Å, 2θ = 33.7°, I = 37, (2 0 -2); d = 2.564 Å, 2θ = 35.0°, I = 37, (2 0 2); d = 2.519 Å, 2θ = 35.6°, I = 58, (1 3 2); d = 1.948 Å, 2θ = 46.6°, I = 34, (3 3 0)

Cell and atoms:
```
data_CsPuRhCl6
_space_group_name_H-M_alt 'C 1 2 1'
_space_group_IT_number 5
_space_group_name_Hall 'C 2y'
_cell_length_a 6.859
_cell_length_b 11.196
_cell_length_c 8.060
_cell_angle_alpha 90.00
_cell_angle_beta 92.24
_cell_angle_gamma 90.00
loop_
_atom_site_label
_atom_site_type_symbol
_atom_site_fract_x
_atom_site_fract_y
_atom_site_fract_z
_atom_site_occupancy
Cs1 Cs 0.000 0.000 0.000 1
Pu1 Pu 0.000 0.661 0.500 1
Rh1 Rh 0.000 0.321 0.500 1
Cl1 Cl 0.148 0.471 0.678 1
Cl2 Cl 0.163 0.172 0.670 1
Cl3 Cl 0.201 0.807 0.710 1
```

=====

[7]
Structure and theoretical powder diffractogram of CsPuSnCl6 (a crystal structure in Alexandria, relaxed with GGA-PBE; Cu Kα).

Largest 10 diffraction maxima, by angle, 2θ = 10–90°:
d = 7.479 Å, 2θ = 11.8°, I = 32, (0 0 1); d = 4.880 Å, 2θ = 18.2°, I = 100, (1 1 1); d = 3.737 Å, 2θ = 23.8°, I = 18, (2 0 0); d = 3.709 Å, 2θ = 24.0°, I = 23, (1 3 0); d = 3.324 Å, 2θ = 26.8°, I = 16, (1 3 -1); d = 2.963 Å, 2θ = 30.2°, I = 16, (2 2 1); d = 2.642 Å, 2θ = 33.9°, I = 22, (2 0 2); d = 2.634 Å, 2θ = 34.0°, I = 43, (1 3 -2); d = 2.324 Å, 2θ = 38.7°, I = 22, (3 1 1); d = 2.151 Å, 2θ = 42.0°, I = 15, (3 3 0)

Cell and atoms:
```
data_CsPuSnCl6
_space_group_name_H-M_alt 'C 1 2 1'
_space_group_IT_number 5
_space_group_name_Hall 'C 2y'
_cell_length_a 7.470
_cell_length_b 12.817
_cell_length_c 7.479
_cell_angle_alpha 90.00
_cell_angle_beta 90.09
_cell_angle_gamma 90.00
loop_
_atom_site_label
_atom_site_type_symbol
_atom_site_fract_x
_atom_site_fract_y
_atom_site_fract_z
_atom_site_occupancy
Cs1 Cs 0.000 0.000 0.000 1
Pu1 Pu 0.000 0.667 0.500 1
Sn1 Sn 0.000 0.333 0.500 1
Cl1 Cl 0.129 0.508 0.295 1
Cl2 Cl 0.181 0.808 0.291 1
Cl3 Cl 0.197 0.184 0.296 1
```

=====

[8]
Structure and theoretical powder diffractogram of Cs3SrPu2Cl9 (a crystal structure in Alexandria, relaxed with GGA-PBE; Cu Kα).

Largest 10 diffraction maxima, by angle, 2θ = 10–90°:
d = 5.662 Å, 2θ = 15.7°, I = 15, (1 0 1); d = 4.003 Å, 2θ = 22.2°, I = 100, (1 1 0); d = 2.831 Å, 2θ = 31.6°, I = 48, (2 0 2); d = 2.311 Å, 2θ = 39.0°, I = 48, (3 0 0); d = 2.002 Å, 2θ = 45.3°, I = 34, (2 2 0); d = 1.790 Å, 2θ = 51.0°, I = 23, (3 1 2); d = 1.513 Å, 2θ = 61.3°, I = 26, (4 1 0); d = 1.334 Å, 2θ = 70.6°, I = 13, (3 3 0); d = 1.266 Å, 2θ = 75.0°, I = 15, (4 2 2); d = 1.110 Å, 2θ = 87.9°, I = 15, (5 2 0)

Cell and atoms:
```
data_Cs3SrPu2Cl9
_space_group_name_H-M_alt 'P -3 m 1'
_space_group_IT_number 164
_space_group_name_Hall '-P 3 2"'
_cell_length_a 8.0067
_cell_length_b 8.0067
_cell_length_c 9.8069
_cell_angle_alpha 90.00
_cell_angle_beta 90.00
_cell_angle_gamma 120.00
loop_
_atom_site_label
_atom_site_type_symbol
_atom_site_fract_x
_atom_site_fract_y
_atom_site_fract_z
_atom_site_occupancy
Cs1 Cs 0.0000 0.0000 0.0000 1
Cs2 Cs 0.3333 0.6667 0.6676 1
Sr1 Sr 0.0000 0.0000 0.5000 1
Pu1 Pu 0.3333 0.6667 0.1613 1
Cl1 Cl 0.0000 0.5000 0.0000 1
Cl2 Cl 0.1680 0.3359 0.3304 1
```

=====

Copy entry 2 word for word.
Structure and theoretical powder diffractogram of CsPu2Cl8 (a crystal structure in Alexandria, relaxed with GGA-PBE; Cu Kα).

Largest 10 diffraction maxima, by angle, 2θ = 10–90°:
d = 4.987 Å, 2θ = 17.8°, I = 100, (1 1 0); d = 4.567 Å, 2θ = 19.4°, I = 88, (0 1 1); d = 2.879 Å, 2θ = 31.1°, I = 24, (3 0 0); d = 2.791 Å, 2θ = 32.1°, I = 39, (3 -2 1); d = 2.569 Å, 2θ = 34.9°, I = 19, (1 0 2); d = 2.494 Å, 2θ = 36.0°, I = 34, (2 2 0); d = 2.284 Å, 2θ = 39.5°, I = 17, (0 2 2); d = 2.189 Å, 2θ = 41.2°, I = 23, (3 1 1); d = 1.885 Å, 2θ = 48.3°, I = 16, (4 1 0); d = 1.860 Å, 2θ = 49.0°, I = 20, (5 -3 1)

Cell and atoms:
```
data_CsPu2Cl8
_space_group_name_H-M_alt 'P -3'
_space_group_IT_number 147
_space_group_name_Hall '-P 3'
_cell_length_a 9.9742
_cell_length_b 9.9742
_cell_length_c 5.3812
_cell_angle_alpha 90.00
_cell_angle_beta 90.00
_cell_angle_gamma 120.00
loop_
_atom_site_label
_atom_site_type_symbol
_atom_site_fract_x
_atom_site_fract_y
_atom_site_fract_z
_atom_site_occupancy
Cs1 Cs 0.0000 0.0000 0.0000 1
Pu1 Pu 0.3333 0.6667 0.2798 1
Cl1 Cl 0.1843 0.3720 0.2828 1
Cl2 Cl 0.3333 0.6667 0.7807 1
```